Diffraction record for Tm2Sn5. The powder X-ray diffraction pattern is simulated, not measured: it uses a DFT-relaxed cell (GGA-PBE, OQMD) and Cu Kα, 1.54184 Å.
Peak positions follow from Bragg's law for the DFT cell and can differ from measured ones.

The 10 most intense peaks (2θ = 5–70°), by intensity:
h k l  2θ/deg  intensity
1 1 3  32.2  100
1 1 4  34.6  97
0 0 7  33.1  47
0 2 0  40.9  36
2 0 0  41.6  34
2 2 7  70.0  34
0 2 7  53.6  25
2 0 7  54.1  24
2 2 0  59.7  24
1 1 2  30.4  16

Atomic structure:
a = 4.3468 Å, b = 4.4111 Å, c = 18.9623 Å
α = 90.00°, β = 90.00°, γ = 90.00°
Sites, in units of the cell vectors:
Tm 0.2500 0.2500 0.1299
Tm 0.2500 0.7500 0.7003
Tm 0.7500 0.2500 0.2997
Tm 0.7500 0.7500 0.8701
Sn 0.2500 0.2500 0.4236
Sn 0.2500 0.2500 0.5774
Sn 0.2500 0.2500 0.8424
Sn 0.2500 0.7500 0.0016
Sn 0.2500 0.7500 0.2673
Sn 0.7500 0.2500 0.7327
Sn 0.7500 0.2500 0.9984
Sn 0.7500 0.7500 0.1576
Sn 0.7500 0.7500 0.4226
Sn 0.7500 0.7500 0.5764